Computed powder XRD pattern of CaNb2O4 for λ = 1.5418 Å (Cu Kα), from a DFT-relaxed cell (PBE, Alexandria).

Crystal structure
Cell: 5.116 12.002 5.911 Å, 90.00 90.00 90.00°
Space group Pbcm (No. 57)
Inequivalent atoms, fractional coordinates:
Ca 0.192 0.004 0.250 (multiplicity 4)
Nb 0.159 0.746 0.250 (multiplicity 4)
Nb 0.344 0.250 0.000 (multiplicity 4)
O 0.008 0.137 0.504 (multiplicity 8)
O 0.485 0.643 0.750 (multiplicity 4)
O 0.494 0.640 0.250 (multiplicity 4)

Top 6 peaks for 5 to 70 degrees two-theta, in order of falling intensity:
2θ 14.8, I 100, (0 2 0); 2θ 35.9, I 68, (2 1 0); 2θ 41.9, I 46, (2 3 0); 2θ 46.7, I 35, (1 4 2); 2θ 52.3, I 22, (2 5 0); 2θ 29.8, I 20, (0 4 0)



Computed powder XRD pattern of La5PrIr3 for λ = 1.5418 Å (Cu Kα), from a DFT-relaxed cell (PBE, Alexandria).

Crystal structure
Cell: 12.994 9.636 10.602 Å, 90.00 114.03 90.00°
Space group C2/m (No. 12)
Inequivalent atoms, fractional coordinates:
La 0.000 0.197 0.000 (multiplicity 4)
La 0.067 0.000 0.370 (multiplicity 4)
La 0.166 0.305 0.666 (multiplicity 8)
La 0.231 0.500 0.036 (multiplicity 4)
Pr 0.103 0.500 0.299 (multiplicity 4)
Ir 0.000 0.500 0.000 (multiplicity 2)
Ir 0.000 0.500 0.500 (multiplicity 2)
Ir 0.164 0.000 0.667 (multiplicity 4)
Ir 0.167 0.000 0.166 (multiplicity 4)

Top 6 peaks for 5 to 70 degrees two-theta, in order of falling intensity:
2θ 18.4, I 100, (0 2 0); 2θ 27.7, I 94, (2 2 1); 2θ 45.0, I 75, (5 3 -2); 2θ 35.9, I 54, (5 1 -2); 2θ 36.0, I 53, (1 3 2); 2θ 41.7, I 31, (4 0 2)



Computed powder XRD pattern of K2NaHg for λ = 1.5418 Å (Cu Kα), from a DFT-relaxed cell (PBE, Alexandria).

Crystal structure
Cell: 11.790 7.474 4.600 Å, 90.00 112.66 90.00°
Space group C2 (No. 5)
Inequivalent atoms, fractional coordinates:
K 0.197 0.000 0.197 (multiplicity 4)
Na 0.000 0.532 0.000 (multiplicity 2)
Hg 0.000 0.242 0.500 (multiplicity 2)

Top 6 peaks for 5 to 70 degrees two-theta, in order of falling intensity:
2θ 14.4, I 100, (1 1 0); 2θ 31.9, I 51, (0 2 1); 2θ 22.7, I 42, (1 1 -1); 2θ 29.0, I 31, (2 2 0); 2θ 28.0, I 30, (1 1 1); 2θ 28.1, I 29, (3 1 -1)



Computed powder XRD pattern of BiBr3 for λ = 1.5418 Å (Cu Kα), from a DFT-relaxed cell (PBE, Alexandria).

Crystal structure
Cell: 7.489 12.786 7.382 Å, 90.00 108.06 90.00°
Space group P2_1/c (No. 14)
Inequivalent atoms, fractional coordinates:
Bi 0.003 0.166 0.006 (multiplicity 4)
Br 0.230 0.678 0.244 (multiplicity 4)
Br 0.238 0.502 0.713 (multiplicity 4)
Br 0.239 0.181 0.762 (multiplicity 4)

Top 6 peaks for 5 to 70 degrees two-theta, in order of falling intensity:
2θ 29.3, I 100, (1 3 1); 2θ 12.4, I 95, (1 0 0); 2θ 42.4, I 52, (0 6 0); 2θ 29.7, I 49, (2 0 -2); 2θ 14.4, I 40, (0 1 1); 2θ 42.0, I 38, (3 3 -1)



Computed powder XRD pattern of CeNd4Mg3 for λ = 1.5418 Å (Cu Kα), from a DFT-relaxed cell (PBE, Alexandria).

Crystal structure
Cell: 3.765 3.765 16.996 Å, 90.00 90.00 90.00°
Space group P4/mmm (No. 123)
Inequivalent atoms, fractional coordinates:
Ce 0.000 0.000 0.000 (multiplicity 1)
Nd 0.500 0.500 0.138 (multiplicity 2)
Nd 0.500 0.500 0.383 (multiplicity 2)
Mg 0.000 0.000 0.261 (multiplicity 2)
Mg 0.000 0.000 0.500 (multiplicity 1)

Top 6 peaks for 5 to 70 degrees two-theta, in order of falling intensity:
2θ 31.8, I 100, (1 0 4); 2θ 33.7, I 45, (1 1 0); 2θ 59.0, I 34, (2 1 4); 2θ 23.6, I 23, (1 0 0); 2θ 55.3, I 17, (1 1 8); 2θ 48.3, I 16, (2 0 0)



Computed powder XRD pattern of Sc2AgPtN for λ = 1.5418 Å (Cu Kα), from a DFT-relaxed cell (PBE, Alexandria).

Crystal structure
Cell: 4.345 4.345 4.305 Å, 90.00 90.00 90.00°
Space group P4/mmm (No. 123)
Inequivalent atoms, fractional coordinates:
Sc 0.000 0.500 0.000 (multiplicity 2)
Ag 0.000 0.000 0.500 (multiplicity 1)
Pt 0.500 0.500 0.500 (multiplicity 1)
N 0.000 0.000 0.000 (multiplicity 1)

Top 6 peaks for 5 to 70 degrees two-theta, in order of falling intensity:
2θ 35.9, I 100, (1 1 1); 2θ 41.6, I 38, (2 0 0); 2θ 29.1, I 31, (1 1 0); 2θ 20.6, I 27, (0 0 1); 2θ 60.6, I 24, (2 0 2); 2θ 42.0, I 18, (0 0 2)



Computed powder XRD pattern of Li6SmSn4 for λ = 1.5418 Å (Cu Kα), from a DFT-relaxed cell (PBE, Alexandria).

Crystal structure
Cell: 7.6057 7.6057 4.5551 Å, 90.00 90.00 120.00°
Space group P-6m2 (No. 187)
Inequivalent atoms, fractional coordinates:
Li 0.2033 0.4065 0.0000 (multiplicity 3)
Li 0.2376 0.1188 0.5000 (multiplicity 3)
Sm 0.6667 0.3333 0.0000 (multiplicity 1)
Sn 0.0000 0.0000 0.0000 (multiplicity 1)
Sn 0.0595 0.5297 0.5000 (multiplicity 3)

Top 6 peaks for 5 to 70 degrees two-theta, in order of falling intensity:
2θ 23.7, I 100, (1 0 1); 2θ 30.6, I 94, (1 1 1); 2θ 27.1, I 71, (2 0 0); 2θ 45.9, I 60, (3 0 1); 2θ 33.6, I 58, (2 0 1); 2θ 36.1, I 44, (2 1 0)



Computed powder XRD pattern of Al5Hg3 for λ = 1.5418 Å (Cu Kα), from a DFT-relaxed cell (PBE, Alexandria).

Crystal structure
Cell: 8.184 8.675 4.455 Å, 90.00 90.00 90.00°
Space group Cmmm (No. 65)
Inequivalent atoms, fractional coordinates:
Al 0.000 0.000 0.000 (multiplicity 2)
Al 0.239 0.500 0.500 (multiplicity 4)
Al 0.250 0.250 0.000 (multiplicity 4)
Hg 0.000 0.228 0.500 (multiplicity 4)
Hg 0.000 0.500 0.000 (multiplicity 2)

Top 6 peaks for 5 to 70 degrees two-theta, in order of falling intensity:
2θ 36.3, I 100, (2 2 1); 2θ 21.7, I 46, (2 0 0); 2θ 28.7, I 45, (0 2 1); 2θ 25.0, I 25, (1 1 1); 2θ 40.5, I 19, (0 0 2); 2θ 53.6, I 17, (4 2 1)



Computed powder XRD pattern of TmZrCdGa for λ = 1.5418 Å (Cu Kα), from a DFT-relaxed cell (PBE, Alexandria).

Crystal structure
Cell: 7.027 7.027 7.027 Å, 90.00 90.00 90.00°
Space group F-43m (No. 216)
Inequivalent atoms, fractional coordinates:
Tm 0.000 0.000 0.000 (multiplicity 4)
Zr 0.000 0.000 0.500 (multiplicity 4)
Cd 0.250 0.250 0.750 (multiplicity 4)
Ga 0.250 0.250 0.250 (multiplicity 4)

Top 6 peaks for 5 to 70 degrees two-theta, in order of falling intensity:
2θ 36.2, I 100, (2 2 0); 2θ 65.0, I 35, (4 2 2); 2θ 52.1, I 17, (4 0 0); 2θ 21.9, I 8, (1 1 1); 2θ 42.7, I 5, (3 1 1); 2θ 25.3, I 3, (2 0 0)